[1]
Structure and calculated powder X-ray diffraction pattern of NaCrAg (DFT lattice parameters and positions (GGA-PBE); Cu Kα X-rays).
Intensities are scaled so that the largest is 100.

Most intense lines, 10° ≤ 2θ ≤ 90°, by angle:
22.50 deg, rel. 100; 32.68 deg, rel. 33; 36.77 deg, rel. 90; 38.71 deg, rel. 51; 45.18 deg, rel. 58; 45.30 deg, rel. 40

Structure:
a b c (Å): 8.7938 2.8820 8.8499
angles (deg): 90.00 90.00 90.00
Fractional coordinates of all 12 atoms:
1 Na 0.0752 0.2500 0.1558
2 Na 0.4248 0.7500 0.6558
3 Na 0.5752 0.2500 0.3442
4 Na 0.9248 0.7500 0.8442
5 Cr 0.0705 0.2500 0.5462
6 Cr 0.4295 0.7500 0.0462
7 Cr 0.5705 0.2500 0.9538
8 Cr 0.9295 0.7500 0.4538
9 Ag 0.2282 0.2500 0.8611
10 Ag 0.2718 0.7500 0.3611
11 Ag 0.7282 0.2500 0.6389
12 Ag 0.7718 0.7500 0.1389

[2]
Structure and calculated powder X-ray diffraction pattern of Cs2Ag2Br5 (DFT lattice parameters and positions (GGA-PBE); Cu Kα X-rays).
Intensities are scaled so that the largest is 100.

Most intense lines, 10° ≤ 2θ ≤ 90°, by angle:
22.33 deg, rel. 74; 22.84 deg, rel. 45; 23.47 deg, rel. 40; 30.55 deg, rel. 61; 32.98 deg, rel. 100; 45.57 deg, rel. 57

Structure:
a b c (Å): 12.9030 12.9030 12.9030
angles (deg): 49.81 145.84 144.87
Fractional coordinates of all 18 atoms:
1 Cs 0.0012 0.1118 0.1131
2 Cs 0.0012 0.3882 0.3894
3 Cs 0.9988 0.6118 0.6106
4 Cs 0.9988 0.8882 0.8869
5 Ag 0.4508 0.2601 0.6907
6 Ag 0.4960 0.4960 0.0000
7 Ag 0.4960 0.9960 0.5000
8 Ag 0.5694 0.7601 0.3093
9 Br 0.4735 0.6238 0.1315
10 Br 0.4735 0.8420 0.3496
11 Br 0.4923 0.1238 0.6504
12 Br 0.4923 0.3420 0.8685
13 Br 0.4988 0.2469 0.2511
14 Br 0.4988 0.7477 0.7518
15 Br 0.7336 0.6041 0.6296
16 Br 0.9745 0.1041 0.3704
17 Br 0.9959 0.2477 0.7489
18 Br 0.9959 0.7469 0.2482

[3]
Structure and calculated powder X-ray diffraction pattern of Pr4TmTh3 (DFT lattice parameters and positions (GGA-PBE); Cu Kα X-rays).
Intensities are scaled so that the largest is 100.

Most intense lines, 10° ≤ 2θ ≤ 90°, by angle:
30.15 deg, rel. 100; 34.57 deg, rel. 17; 35.09 deg, rel. 17; 35.19 deg, rel. 17; 50.12 deg, rel. 24; 59.92 deg, rel. 15

Structure:
a b c (Å): 5.1000 10.2287 10.3793
angles (deg): 90.00 90.00 90.00
Fractional coordinates of all 16 atoms:
1 Pr 0.2500 0.0003 0.1367
2 Pr 0.2500 0.2500 0.8606
3 Pr 0.2500 0.4997 0.1367
4 Pr 0.2500 0.7500 0.8670
5 Pr 0.7500 0.9997 0.8633
6 Pr 0.7500 0.2500 0.1330
7 Pr 0.7500 0.5003 0.8633
8 Pr 0.7500 0.7500 0.1394
9 Tm 0.2500 0.2500 0.3838
10 Tm 0.7500 0.7500 0.6162
11 Th 0.2500 0.0020 0.6159
12 Th 0.2500 0.4980 0.6159
13 Th 0.2500 0.7500 0.3833
14 Th 0.7500 0.2500 0.6167
15 Th 0.7500 0.5020 0.3841
16 Th 0.7500 0.9980 0.3841

[4]
Structure and calculated powder X-ray diffraction pattern of Pr7YHo3 (DFT lattice parameters and positions (GGA-PBE); Cu Kα X-rays).
Intensities are scaled so that the largest is 100.

Most intense lines, 10° ≤ 2θ ≤ 90°, by angle:
30.00 deg, rel. 35; 31.20 deg, rel. 27; 31.90 deg, rel. 100; 43.84 deg, rel. 22; 54.48 deg, rel. 22; 60.84 deg, rel. 18

Structure:
a b c (Å): 8.6355 8.6355 5.9564
angles (deg): 110.15 110.15 83.24
Fractional coordinates of all 11 atoms:
1 Pr 0.0000 0.0000 0.0000
2 Pr 0.0974 0.5162 0.3070
3 Pr 0.2920 0.2920 0.7931
4 Pr 0.4838 0.9026 0.6930
5 Pr 0.5162 0.0974 0.3070
6 Pr 0.7080 0.7080 0.2069
7 Pr 0.9026 0.4838 0.6930
8 Y 0.0000 0.0000 0.5000
9 Ho 0.2955 0.7045 0.0000
10 Ho 0.5000 0.5000 0.5000
11 Ho 0.7045 0.2955 0.0000

[5]
Structure and calculated powder X-ray diffraction pattern of Tl2RuPbF8 (DFT lattice parameters and positions (GGA-PBE); Cu Kα X-rays).
Intensities are scaled so that the largest is 100.

Most intense lines, 10° ≤ 2θ ≤ 90°, by angle:
21.86 deg, rel. 100; 22.60 deg, rel. 86; 27.62 deg, rel. 99; 29.53 deg, rel. 67; 40.70 deg, rel. 50; 45.56 deg, rel. 38

Structure:
a b c (Å): 5.1332 7.4902 6.3843
angles (deg): 90.00 91.91 90.00
Fractional coordinates of all 12 atoms:
1 Tl 0.0000 0.2393 0.0000
2 Tl 0.0000 0.7607 0.0000
3 Ru 0.5000 0.0000 0.5000
4 Pb 0.5000 0.5000 0.5000
5 F 0.1545 0.5000 0.2383
6 F 0.1865 0.0000 0.3344
7 F 0.3729 0.1994 0.6781
8 F 0.3729 0.8006 0.6781
9 F 0.6271 0.1994 0.3219
10 F 0.6271 0.8006 0.3219
11 F 0.8135 0.0000 0.6656
12 F 0.8455 0.5000 0.7617

[6]
Structure and calculated powder X-ray diffraction pattern of Te2Pd3Br2 (DFT lattice parameters and positions (GGA-PBE); Cu Kα X-rays).
Intensities are scaled so that the largest is 100.

Most intense lines, 10° ≤ 2θ ≤ 90°, by angle:
16.24 deg, rel. 25; 31.17 deg, rel. 44; 32.62 deg, rel. 100; 44.48 deg, rel. 27; 46.97 deg, rel. 28; 49.66 deg, rel. 19

Structure:
a b c (Å): 6.8976 6.8976 7.3523
angles (deg): 102.63 102.63 30.87
Fractional coordinates of all 7 atoms:
1 Te 0.1372 0.1372 0.3329
2 Te 0.8628 0.8628 0.6671
3 Pd 0.0000 0.0000 0.0000
4 Pd 0.2317 0.2317 0.7120
5 Pd 0.7683 0.7683 0.2880
6 Br 0.3876 0.3876 0.1708
7 Br 0.6124 0.6124 0.8292

[7]
Structure and calculated powder X-ray diffraction pattern of Ba2Bi2Pd3 (DFT lattice parameters and positions (GGA-PBE); Cu Kα X-rays).
Intensities are scaled so that the largest is 100.

Most intense lines, 10° ≤ 2θ ≤ 90°, by angle:
15.63 deg, rel. 60; 30.59 deg, rel. 58; 30.83 deg, rel. 82; 33.11 deg, rel. 98; 36.20 deg, rel. 100; 38.71 deg, rel. 65

Structure:
a b c (Å): 6.5849 6.5849 7.5785
angles (deg): 113.70 113.70 41.38
Fractional coordinates of all 7 atoms:
1 Ba 0.1326 0.1326 0.2561
2 Ba 0.8674 0.8674 0.7439
3 Bi 0.1500 0.1500 0.7468
4 Bi 0.8500 0.8500 0.2532
5 Pd 0.3847 0.3847 0.0819
6 Pd 0.5000 0.5000 0.5000
7 Pd 0.6153 0.6153 0.9181

[8]
Structure and calculated powder X-ray diffraction pattern of Sm6DyTl2 (DFT lattice parameters and positions (GGA-PBE); Cu Kα X-rays).
Intensities are scaled so that the largest is 100.

Most intense lines, 10° ≤ 2θ ≤ 90°, by angle:
30.99 deg, rel. 94; 31.95 deg, rel. 94; 32.38 deg, rel. 100; 47.80 deg, rel. 19; 56.24 deg, rel. 18; 58.07 deg, rel. 33

Structure:
a b c (Å): 6.8036 6.8036 12.0714
angles (deg): 107.35 107.35 32.48
Fractional coordinates of all 9 atoms:
1 Sm 0.0141 0.0141 0.3435
2 Sm 0.3072 0.3072 0.4115
3 Sm 0.3153 0.3153 0.1239
4 Sm 0.6847 0.6847 0.8761
5 Sm 0.6928 0.6928 0.5885
6 Sm 0.9859 0.9859 0.6565
7 Dy 0.0000 0.0000 0.0000
8 Tl 0.3631 0.3631 0.7996
9 Tl 0.6369 0.6369 0.2004